(1)
Calculated XRD peak list
Compound: Er8TlSn5
Radiation: λ = 1.5418 Å (Cu Kα)
Structure: a DFT-relaxed cell (PBE, Alexandria)
Intensities are scaled so that the largest is 100.

Structural model:
```
data_Er8TlSn5
_chemical_formula_sum 'Er16 Tl2 Sn10'
_space_group_name_H-M_alt 'I -4'
_space_group_IT_number 82
_cell_length_a 9.2116
_cell_length_b 9.2116
_cell_length_c 9.2316
_cell_angle_alpha 90.00
_cell_angle_beta 90.00
_cell_angle_gamma 90.00
loop_
_space_group_symop_operation_xyz
'x,y,z'
'y,-x,-z'
'-x,-y,z'
'-y,x,-z'
'x+1/2,y+1/2,z+1/2'
'y+1/2,-x+1/2,-z+1/2'
'-x+1/2,-y+1/2,z+1/2'
'-y+1/2,x+1/2,-z+1/2'
loop_
_atom_site_label
_atom_site_type_symbol
_atom_site_fract_x
_atom_site_fract_y
_atom_site_fract_z
_atom_site_occupancy
Er1 Er 0.0709 0.1771 0.1979 1
Er2 Er 0.0727 0.3203 0.5557 1
Tl1 Tl 0.0000 0.5000 0.2500 1
Sn1 Sn 0.0000 0.0000 0.5000 1
Sn2 Sn 0.1255 0.2502 0.8765 1
```

Peak list (10 most intense, 10 to 90 degrees two-theta, sorted by position)
2theta	I_rel
30.67	100
36.47	67
43.92	11
46.19	9
48.37	18
50.46	15
62.00	9
62.10	17
65.64	15
75.89	9



(2)
Calculated XRD peak list
Compound: Nd3Dy2PuTe6
Radiation: λ = 1.5418 Å (Cu Kα)
Structure: a DFT-relaxed cell (PBE, Alexandria)
Intensities are scaled so that the largest is 100.

Structural model:
```
data_Nd3Dy2PuTe6
_chemical_formula_sum 'Nd6 Dy4 Pu2 Te12'
_space_group_name_H-M_alt 'C 1 2/m 1'
_space_group_IT_number 12
_cell_length_a 19.4051
_cell_length_b 4.4039
_cell_length_c 8.9389
_cell_angle_alpha 90.00
_cell_angle_beta 103.90
_cell_angle_gamma 90.00
loop_
_space_group_symop_operation_xyz
'x,y,z'
'-x,-y,-z'
'-x,y,-z'
'x,-y,z'
'x+1/2,y+1/2,z'
'-x+1/2,-y+1/2,-z'
'-x+1/2,y+1/2,-z'
'x+1/2,-y+1/2,z'
loop_
_atom_site_label
_atom_site_type_symbol
_atom_site_fract_x
_atom_site_fract_y
_atom_site_fract_z
_atom_site_occupancy
Nd1 Nd 0.0000 0.0000 0.0000 1
Nd2 Nd 0.1651 0.5000 0.3337 1
Dy1 Dy 0.1637 0.5000 0.8282 1
Pu1 Pu 0.0000 0.0000 0.5000 1
Te1 Te 0.0022 0.5000 0.7469 1
Te2 Te 0.1661 0.0000 0.5902 1
Te3 Te 0.1707 0.0000 0.0760 1
```

Peak list (10 most intense, 10 to 90 degrees two-theta, sorted by position)
2theta	I_rel
28.45	100
40.36	13
40.51	26
40.81	25
40.99	13
49.85	7
50.64	14
58.86	13
66.42	12
66.86	12